Record 1
The following is a computed powder diffraction line list of ZnH20PdC4N4O12. It was derived from a crystal structure in OQMD, relaxed with PBE, using Cu Ka.

Structure:
```
data_ZnH20PdC4N4O12
_chemical_formula_sum 'Zn2 H40 Pd2 C8 N8 O24'
_cell_length_a 6.913
_cell_length_b 6.949
_cell_length_c 15.009
_cell_angle_alpha 90.00
_cell_angle_beta 90.00
_cell_angle_gamma 90.00
_space_group_name_H-M_alt 'I 2 2 2'
_space_group_IT_number 23
loop_
_space_group_symop_operation_xyz
'x,y,z'
'-x,-y,z'
'x,-y,-z'
'-x,y,-z'
'x+1/2,y+1/2,z+1/2'
'-x+1/2,-y+1/2,z+1/2'
'x+1/2,-y+1/2,-z+1/2'
'-x+1/2,y+1/2,-z+1/2'
loop_
_atom_site_label
_atom_site_fract_x
_atom_site_fract_y
_atom_site_fract_z
Zn1 0.000 0.000 0.000
H1 0.001 0.385 0.687
H2 0.134 0.499 0.556
H3 0.149 0.008 0.342
H4 0.198 0.386 0.094
H5 0.200 0.376 0.909
Pd1 0.000 0.000 0.500
C1 0.000 0.112 0.183
N1 0.212 0.004 0.404
O1 0.000 0.500 0.354
O2 0.002 0.191 0.742
O3 0.003 0.196 0.108
O4 0.212 0.500 0.500
```

Principal peaks in the range 15 to 90 degrees two-theta, in order of falling intensity:
hkl	two_theta	I/Imax
1 1 0	18.1	100
1 1 2	21.7	46
0 2 2	28.3	44
2 0 0	25.8	40
1 1 4	30.0	40
2 2 6	52.2	24
1 3 2	42.9	23
0 2 0	25.6	21
2 1 3	34.1	18
1 2 1	29.4	18

Record 2
The following is a computed powder diffraction line list of ZnH26PtC8S4N2O12. It was derived from a crystal structure in OQMD, relaxed with PBE, using Cu Ka.

Structure:
```
data_ZnH26PtC8S4N2O12
_chemical_formula_sum 'Zn1 H26 Pt1 C8 S4 N2 O12'
_cell_length_a 5.951
_cell_length_b 6.456
_cell_length_c 13.123
_cell_angle_alpha 81.26
_cell_angle_beta 87.93
_cell_angle_gamma 84.16
_space_group_name_H-M_alt 'P -1'
_space_group_IT_number 2
loop_
_space_group_symop_operation_xyz
'x,y,z'
'-x,-y,-z'
loop_
_atom_site_label
_atom_site_fract_x
_atom_site_fract_y
_atom_site_fract_z
Zn1 0.000 0.000 0.000
H1 0.027 0.343 0.104
H2 0.046 0.048 0.357
H3 0.129 0.366 0.820
H4 0.146 0.960 0.239
H5 0.164 0.575 0.739
H6 0.171 0.783 0.358
H7 0.214 0.504 0.221
H8 0.265 0.217 0.085
H9 0.266 0.112 0.658
H10 0.329 0.710 0.107
H11 0.376 0.803 0.986
H12 0.452 0.403 0.186
H13 0.455 0.258 0.713
Pt1 0.500 0.500 0.500
C1 0.176 0.948 0.322
C2 0.343 0.999 0.817
C3 0.412 0.098 0.709
C4 0.425 0.169 0.389
S1 0.218 0.313 0.450
S2 0.315 0.748 0.592
N1 0.397 0.015 0.337
O1 0.069 0.517 0.798
O2 0.117 0.261 0.054
O3 0.181 0.103 0.858
O4 0.302 0.837 0.051
O5 0.373 0.536 0.204
O6 0.444 0.825 0.859
```

Principal peaks in the range 15 to 90 degrees two-theta, in order of falling intensity:
hkl	two_theta	I/Imax
0 1 -1	16.4	100
1 0 1	16.3	85
0 1 -3	26.6	83
1 0 -1	16.6	79
1 -1 2	26.5	44
1 1 2	22.4	39
1 1 -2	25.2	30
1 -1 0	21.5	29
0 1 -2	21.0	27
2 1 3	36.8	25